For Li7VO5F, a structure optimized by DFT (PBE+U) gives the computed XRD peak list in this record (Cu Ka).
Peak positions follow from Bragg's law for the DFT cell and can differ from measured ones.

Unit cell a=5.569 b=6.000 c=9.401 alpha=93.67 beta=103.07 gamma=116.05
Fractional coordinates of all 28 atoms:
Li (0.003, 0.488, 0.317)
Li (0.004, 0.953, 0.770)
Li (0.148, 0.360, 0.902)
Li (0.255, 0.850, 0.991)
Li (0.274, 0.376, 0.529)
Li (0.381, 0.234, 0.131)
Li (0.461, 0.897, 0.610)
Li (0.539, 0.103, 0.390)
Li (0.619, 0.766, 0.869)
Li (0.726, 0.624, 0.471)
Li (0.745, 0.150, 0.009)
Li (0.852, 0.640, 0.098)
Li (0.996, 0.047, 0.230)
Li (0.997, 0.512, 0.683)
V (0.436, 0.682, 0.224)
V (0.564, 0.318, 0.776)
O (0.111, 0.381, 0.134)
O (0.242, 0.910, 0.194)
O (0.322, 0.479, 0.736)
O (0.389, 0.174, 0.922)
O (0.424, 0.707, 0.421)
O (0.576, 0.293, 0.579)
O (0.611, 0.826, 0.078)
O (0.678, 0.521, 0.264)
O (0.758, 0.090, 0.806)
O (0.889, 0.619, 0.866)
F (0.078, 0.816, 0.609)
F (0.922, 0.184, 0.391)

Principal peaks in the range 2θ from 15° to 90°, sorted by position:
(hkl)  d (Å)  intensity
0 1 -1  4.989  41
1 0 0  4.798  46
-1 1 1  4.498  100
0 1 1  4.232  38
1 -1 1  4.081  51
1 0 -2  3.875  36
1 1 1  2.589  48
2 -2 0  2.429  51